Record 1
Starting from a DFT-relaxed cell (PBE, Alexandria), the powder XRD pattern of YPu2Ni9 was simulated for Cu Kα (λ = 1.5418 Å).
Intensities are scaled so that the largest is 100.

a b c (Å): 8.6259 8.6259 8.6259
angles (deg): 33.27 33.27 33.27
Element x y z (fractional)
Y 0.0000 0.0000 0.0000
Pu 0.1425 0.1425 0.1425
Pu 0.8575 0.8575 0.8575
Ni 0.0815 0.5820 0.5820
Ni 0.3329 0.3329 0.3329
Ni 0.4180 0.4180 0.9185
Ni 0.4180 0.9185 0.4180
Ni 0.5000 0.5000 0.5000
Ni 0.5820 0.0815 0.5820
Ni 0.5820 0.5820 0.0815
Ni 0.6671 0.6671 0.6671
Ni 0.9185 0.4180 0.4180

Peak list (6 most intense, 2θ = 10–80°, in order of falling intensity)
2θ = 42.84°, intensity 100; 2θ = 36.39°, intensity 62; 2θ = 33.14°, intensity 61; 2θ = 10.87°, intensity 53; 2θ = 42.43°, intensity 37; 2θ = 36.15°, intensity 34

Record 2
Starting from a DFT-relaxed cell (PBE, Alexandria), the powder XRD pattern of Sc2Ti2Fe was simulated for Cu Kα (λ = 1.5418 Å).
Intensities are scaled so that the largest is 100.

a b c (Å): 6.1053 6.1053 4.9082
angles (deg): 90.00 90.00 90.00
Element x y z (fractional)
Sc 0.1715 0.3285 0.0000
Sc 0.3285 0.8285 0.0000
Sc 0.6715 0.1715 0.0000
Sc 0.8285 0.6715 0.0000
Ti 0.1524 0.6524 0.5000
Ti 0.3476 0.1524 0.5000
Ti 0.6524 0.8476 0.5000
Ti 0.8476 0.3476 0.5000
Fe 0.0000 0.0000 0.5000
Fe 0.5000 0.5000 0.5000

Peak list (6 most intense, 2θ = 10–80°, in order of falling intensity)
2θ = 37.70°, intensity 100; 2θ = 36.62°, intensity 42; 2θ = 47.07°, intensity 31; 2θ = 61.07°, intensity 26; 2θ = 34.60°, intensity 20; 2θ = 18.07°, intensity 18

Record 3
Starting from a DFT-relaxed cell (PBE, Alexandria), the powder XRD pattern of Rb3In2S4 was simulated for Cu Kα (λ = 1.5418 Å).
Intensities are scaled so that the largest is 100.

a b c (Å): 9.0058 9.0058 7.8203
angles (deg): 92.84 92.84 77.21
Element x y z (fractional)
Rb 0.1081 0.8919 0.7500
Rb 0.2436 0.5147 0.4304
Rb 0.4853 0.7564 0.0696
Rb 0.5147 0.2436 0.9304
Rb 0.7564 0.4853 0.5696
Rb 0.8919 0.1081 0.2500
In 0.0833 0.3212 0.9148
In 0.3212 0.0833 0.4148
In 0.6788 0.9167 0.5852
In 0.9167 0.6788 0.0852
S 0.1008 0.2341 0.5910
S 0.1923 0.5607 0.9861
S 0.2341 0.1008 0.0910
S 0.4393 0.8077 0.5139
S 0.5607 0.1923 0.4861
S 0.7659 0.8992 0.9090
S 0.8077 0.4393 0.0139
S 0.8992 0.7659 0.4090

Peak list (6 most intense, 2θ = 10–80°, in order of falling intensity)
2θ = 23.65°, intensity 100; 2θ = 22.93°, intensity 64; 2θ = 32.25°, intensity 48; 2θ = 24.60°, intensity 47; 2θ = 32.86°, intensity 43; 2θ = 31.84°, intensity 43

Record 4
Starting from a DFT-relaxed cell (PBE, Alexandria), the powder XRD pattern of HfSc2 was simulated for Cu Kα (λ = 1.5418 Å).
Intensities are scaled so that the largest is 100.

a b c (Å): 6.0655 6.0655 8.7430
angles (deg): 119.05 119.05 30.55
Element x y z (fractional)
Hf 0.0000 0.0000 0.0000
Hf 0.7321 0.7321 0.9985
Sc 0.2281 0.2281 0.6814
Sc 0.4652 0.4652 0.3032
Sc 0.4854 0.4854 0.6724
Sc 0.7398 0.7398 0.3445

Peak list (6 most intense, 2θ = 10–80°, in order of falling intensity)
2θ = 11.71°, intensity 100; 2θ = 35.48°, intensity 55; 2θ = 35.65°, intensity 28; 2θ = 36.38°, intensity 27; 2θ = 34.92°, intensity 26; 2θ = 33.33°, intensity 25

Record 5
Starting from a DFT-relaxed cell (PBE, Alexandria), the powder XRD pattern of TbDy4Er2Mg was simulated for Cu Kα (λ = 1.5418 Å).
Intensities are scaled so that the largest is 100.

a b c (Å): 4.9452 4.9452 9.9093
angles (deg): 90.00 90.00 90.00
Element x y z (fractional)
Tb 0.0000 0.0000 0.0000
Dy 0.0000 0.5000 0.2528
Dy 0.0000 0.5000 0.7472
Dy 0.5000 0.0000 0.2528
Dy 0.5000 0.0000 0.7472
Er 0.0000 0.0000 0.5000
Er 0.5000 0.5000 0.0000
Mg 0.5000 0.5000 0.5000

Peak list (6 most intense, 2θ = 10–80°, in order of falling intensity)
2θ = 31.31°, intensity 100; 2θ = 36.31°, intensity 51; 2θ = 62.22°, intensity 42; 2θ = 52.29°, intensity 36; 2θ = 65.32°, intensity 12; 2θ = 20.07°, intensity 5

Record 6
Starting from a DFT-relaxed cell (PBE, Alexandria), the powder XRD pattern of KRhPbBr6 was simulated for Cu Kα (λ = 1.5418 Å).
Intensities are scaled so that the largest is 100.

a b c (Å): 7.4159 7.4159 13.4955
angles (deg): 90.00 90.00 120.00
Element x y z (fractional)
K 0.0000 0.0000 0.0000
K 0.0000 0.0000 0.5000
Rh 0.3333 0.6667 0.2500
Rh 0.6667 0.3333 0.7500
Pb 0.3333 0.6667 0.7500
Pb 0.6667 0.3333 0.2500
Br 0.0544 0.3971 0.1393
Br 0.0544 0.6574 0.3607
Br 0.3426 0.3971 0.3607
Br 0.3426 0.9456 0.1393
Br 0.3971 0.0544 0.6393
Br 0.3971 0.3426 0.8607
Br 0.6029 0.6574 0.1393
Br 0.6029 0.9456 0.3607
Br 0.6574 0.0544 0.8607
Br 0.6574 0.6029 0.6393
Br 0.9456 0.3426 0.6393
Br 0.9456 0.6029 0.8607

Peak list (6 most intense, 2θ = 10–80°, in order of falling intensity)
2θ = 27.45°, intensity 100; 2θ = 35.99°, intensity 81; 2θ = 13.12°, intensity 61; 2θ = 19.08°, intensity 56; 2θ = 42.24°, intensity 47; 2θ = 13.79°, intensity 42

Record 7
Starting from a DFT-relaxed cell (PBE, Alexandria), the powder XRD pattern of Rb2AgSnCl6 was simulated for Cu Kα (λ = 1.5418 Å).
Intensities are scaled so that the largest is 100.

a b c (Å): 5.3087 5.3087 10.9278
angles (deg): 90.00 90.00 90.00
Element x y z (fractional)
Rb 0.0000 0.0000 0.2058
Rb 0.0000 0.0000 0.7942
Ag 0.5000 0.5000 0.0000
Sn 0.5000 0.5000 0.5000
Cl 0.0000 0.5000 0.0000
Cl 0.0000 0.5000 0.5000
Cl 0.5000 0.0000 0.0000
Cl 0.5000 0.0000 0.5000
Cl 0.5000 0.5000 0.2588
Cl 0.5000 0.5000 0.7412

Peak list (6 most intense, 2θ = 10–80°, in order of falling intensity)
2θ = 23.36°, intensity 100; 2θ = 33.77°, intensity 81; 2θ = 23.70°, intensity 57; 2θ = 41.47°, intensity 46; 2θ = 47.78°, intensity 40; 2θ = 32.78°, intensity 31

Record 8
Starting from a DFT-relaxed cell (PBE, Alexandria), the powder XRD pattern of LiTlSnF4 was simulated for Cu Kα (λ = 1.5418 Å).
Intensities are scaled so that the largest is 100.

a b c (Å): 6.2031 5.9975 7.2814
angles (deg): 90.00 106.01 90.00
Element x y z (fractional)
Li 0.0035 0.2500 0.2808
Li 0.9965 0.7500 0.7192
Tl 0.2936 0.2500 0.9507
Tl 0.7064 0.7500 0.0493
Sn 0.2889 0.7500 0.4333
Sn 0.7111 0.2500 0.5667
F 0.0435 0.2500 0.5495
F 0.1522 0.0000 0.2155
F 0.1522 0.5000 0.2155
F 0.3079 0.7500 0.7691
F 0.6921 0.2500 0.2309
F 0.8478 0.0000 0.7845
F 0.8478 0.5000 0.7845
F 0.9565 0.7500 0.4505

Peak list (6 most intense, 2θ = 10–80°, in order of falling intensity)
2θ = 22.34°, intensity 100; 2θ = 26.68°, intensity 86; 2θ = 29.79°, intensity 43; 2θ = 25.72°, intensity 33; 2θ = 32.82°, intensity 32; 2θ = 41.53°, intensity 29

Record 9
Starting from a DFT-relaxed cell (PBE, Alexandria), the powder XRD pattern of MgAu6 was simulated for Cu Kα (λ = 1.5418 Å).
Intensities are scaled so that the largest is 100.

a b c (Å): 4.0730 4.0730 8.1735
angles (deg): 90.00 90.00 90.00
Element x y z (fractional)
Mg 0.0000 0.0000 0.0000
Au 0.0000 0.0000 0.5000
Au 0.0000 0.5000 0.2559
Au 0.0000 0.5000 0.7441
Au 0.5000 0.0000 0.2559
Au 0.5000 0.0000 0.7441
Au 0.5000 0.5000 0.0000

Peak list (6 most intense, 2θ = 10–80°, in order of falling intensity)
2θ = 38.23°, intensity 100; 2θ = 44.49°, intensity 33; 2θ = 24.42°, intensity 29; 2θ = 77.74°, intensity 26; 2θ = 64.61°, intensity 22; 2θ = 44.33°, intensity 16

Record 10
Starting from a DFT-relaxed cell (PBE, Alexandria), the powder XRD pattern of Ca2Nd5Y2 was simulated for Cu Kα (λ = 1.5418 Å).
Intensities are scaled so that the largest is 100.

a b c (Å): 7.6572 7.6572 13.4579
angles (deg): 116.67 116.67 28.24
Element x y z (fractional)
Ca 0.0955 0.0955 0.3481
Ca 0.9045 0.9045 0.6519
Nd 0.0000 0.0000 0.0000
Nd 0.2994 0.2994 0.8200
Nd 0.3855 0.3855 0.3920
Nd 0.6145 0.6145 0.6080
Nd 0.7006 0.7006 0.1800
Y 0.3588 0.3588 0.1081
Y 0.6412 0.6412 0.8919

Peak list (6 most intense, 2θ = 10–80°, in order of falling intensity)
2θ = 31.40°, intensity 100; 2θ = 30.02°, intensity 63; 2θ = 14.72°, intensity 59; 2θ = 29.69°, intensity 53; 2θ = 31.20°, intensity 39; 2θ = 36.64°, intensity 32

Record 11
Starting from a DFT-relaxed cell (PBE, Alexandria), the powder XRD pattern of V4Cr4Re3 was simulated for Cu Kα (λ = 1.5418 Å).
Intensities are scaled so that the largest is 100.

a b c (Å): 2.6118 4.1807 13.4759
angles (deg): 81.14 86.36 89.96
Element x y z (fractional)
V 0.0420 0.3159 0.3685
V 0.1364 0.9534 0.0934
V 0.8636 0.0466 0.9066
V 0.9580 0.6841 0.6315
Cr 0.2225 0.5924 0.8152
Cr 0.3224 0.2286 0.5425
Cr 0.6776 0.7714 0.4575
Cr 0.7775 0.4076 0.1848
Re 0.4140 0.8622 0.2758
Re 0.5000 0.5000 0.0000
Re 0.5860 0.1378 0.7242

Peak list (6 most intense, 2θ = 10–80°, in order of falling intensity)
2θ = 42.68°, intensity 100; 2θ = 43.26°, intensity 96; 2θ = 23.53°, intensity 44; 2θ = 62.39°, intensity 31; 2θ = 78.91°, intensity 15; 2θ = 79.00°, intensity 15

Record 12
Starting from a DFT-relaxed cell (PBE, Alexandria), the powder XRD pattern of CsGaTe was simulated for Cu Kα (λ = 1.5418 Å).
Intensities are scaled so that the largest is 100.

a b c (Å): 6.7477 4.2589 9.0390
angles (deg): 90.00 98.42 90.00
Element x y z (fractional)
Cs 0.2146 0.0000 0.3341
Cs 0.7854 0.0000 0.6659
Ga 0.3229 0.0000 0.9181
Ga 0.6771 0.0000 0.0819
Te 0.2949 0.5000 0.7132
Te 0.7051 0.5000 0.2868

Peak list (6 most intense, 2θ = 10–80°, in order of falling intensity)
2θ = 30.69°, intensity 100; 2θ = 27.49°, intensity 99; 2θ = 26.71°, intensity 64; 2θ = 26.01°, intensity 39; 2θ = 29.97°, intensity 36; 2θ = 19.86°, intensity 35

Record 13
Starting from a DFT-relaxed cell (PBE, Alexandria), the powder XRD pattern of UZnPd2 was simulated for Cu Kα (λ = 1.5418 Å).
Intensities are scaled so that the largest is 100.

a b c (Å): 3.1315 3.1315 7.0457
angles (deg): 90.00 90.00 90.00
Element x y z (fractional)
U 0.0000 0.0000 0.0000
Zn 0.0000 0.0000 0.5000
Pd 0.5000 0.5000 0.2856
Pd 0.5000 0.5000 0.7144

Peak list (6 most intense, 2θ = 10–80°, in order of falling intensity)
2θ = 38.46°, intensity 100; 2θ = 40.75°, intensity 46; 2θ = 72.64°, intensity 37; 2θ = 31.26°, intensity 29; 2θ = 58.99°, intensity 16; 2θ = 12.56°, intensity 16